Diffraction record for Li4Ti2Cr3Ni3O16. The PXRD pattern is calculated, not measured: it uses a structure optimized by DFT (GGA+U) and λ = 1.5418 Å (Cu Kα).
Peak positions follow from Bragg's law for the DFT cell and can differ from measured ones.

Most intense lines, 5 to 70 degrees two-theta, sorted by position:
- d 4.740, 18.72°, rel. 100, hkl 0 0 2
- d 4.488, 19.78°, rel. 36, hkl 1 1 -1
- d 4.427, 20.06°, rel. 26, hkl 2 0 1
- d 4.403, 20.17°, rel. 37, hkl 1 1 1
- d 2.447, 36.73°, rel. 39, hkl 2 2 -1
- d 2.418, 37.18°, rel. 24, hkl 2 2 1
- d 1.991, 45.57°, rel. 28, hkl 2 2 -3
- d 1.947, 46.65°, rel. 38, hkl 2 2 3
- d 1.531, 60.46°, rel. 23, hkl 2 2 -5
- d 1.472, 63.18°, rel. 34, hkl 6 2 0

Lattice parameters (Å, degrees): 10.275 5.774 9.491 90.00 92.68 90.00
Space group Cm (No. 8)
Asymmetric unit:
Li  0.000  0.000  0.000 x2
Li  0.002  0.000  0.501 x2
Li  0.159  0.500  0.595 x2
Li  0.341  0.000  0.099 x2
Ti  0.167  0.500  0.997 x2
Ti  0.333  0.000  0.493 x2
Cr  0.326  0.500  0.274 x2
Cr  0.405  0.245  0.774 x4
Ni  0.086  0.252  0.280 x4
Ni  0.168  0.000  0.790 x2
O  0.025  0.500  0.160 x2
O  0.078  0.256  0.903 x4
O  0.159  0.000  0.398 x2
O  0.168  0.500  0.381 x2
O  0.250  0.280  0.152 x4
O  0.263  0.228  0.650 x4
O  0.329  0.500  0.892 x2
O  0.351  0.000  0.890 x2
O  0.405  0.254  0.399 x4
O  0.476  0.000  0.652 x2
O  0.491  0.500  0.693 x2
O  0.496  0.500  0.189 x2